[1]
Cd4Si5: computed X-ray powder pattern (Cu Kα), based on a PBE-relaxed structure.
Kinematic intensities with the Lorentz-polarization factor, no thermal factor.

Peak list (12 most intense, 10 to 90 degrees two-theta, by intensity)
| 2θ/deg | I/Imax |
| --- | --- |
| 35.5 | 1000 |
| 26.3 | 598 |
| 39.5 | 558 |
| 11.6 | 531 |
| 46.4 | 193 |
| 54.1 | 154 |
| 66.3 | 134 |
| 81.4 | 114 |
| 47.9 | 105 |
| 63.7 | 105 |
| 44.7 | 100 |
| 58.3 | 97 |

Crystal structure
a = 8.7733 Å, b = 8.7733 Å, c = 5.3495 Å
α = 90.00°, β = 90.00°, γ = 120.00°
Fractional coordinates of all 18 atoms:
Cd: 0.0000 0.0000 0.0000
Cd: 0.0000 0.0000 0.5000
Cd: 0.0000 0.2926 0.2500
Cd: 0.0000 0.7074 0.7500
Cd: 0.2926 0.0000 0.2500
Cd: 0.2926 0.2926 0.7500
Cd: 0.7074 0.0000 0.7500
Cd: 0.7074 0.7074 0.2500
Si: 0.0000 0.4070 0.7500
Si: 0.0000 0.5930 0.2500
Si: 0.3333 0.6667 0.0000
Si: 0.3333 0.6667 0.5000
Si: 0.4070 0.0000 0.7500
Si: 0.4070 0.4070 0.2500
Si: 0.5930 0.0000 0.2500
Si: 0.5930 0.5930 0.7500
Si: 0.6667 0.3333 0.0000
Si: 0.6667 0.3333 0.5000

=====

[2]
Sm3Ge4: computed X-ray powder pattern (Cu Kα), based on a PBE-relaxed structure.
Kinematic intensities with the Lorentz-polarization factor, no thermal factor.

Peak list (12 most intense, 10 to 90 degrees two-theta, by intensity)
| 2θ/deg | I/Imax |
| --- | --- |
| 33.8 | 1000 |
| 32.7 | 866 |
| 37.7 | 403 |
| 43.4 | 369 |
| 29.5 | 325 |
| 33.4 | 302 |
| 41.4 | 292 |
| 50.3 | 266 |
| 37.2 | 250 |
| 29.6 | 229 |
| 26.0 | 224 |
| 64.1 | 182 |

Crystal structure
a = 5.8422 Å, b = 5.8422 Å, c = 14.5016 Å
α = 90.00°, β = 90.00°, γ = 138.19°
Fractional coordinates of all 14 atoms:
Sm: 0.0382 0.9618 0.7500
Sm: 0.3261 0.6739 0.5970
Sm: 0.3261 0.6739 0.9030
Sm: 0.6739 0.3261 0.0970
Sm: 0.6739 0.3261 0.4030
Sm: 0.9618 0.0382 0.2500
Ge: 0.0000 0.0000 0.0000
Ge: 0.0000 0.0000 0.5000
Ge: 0.2358 0.7642 0.2500
Ge: 0.3851 0.6149 0.1086
Ge: 0.3851 0.6149 0.3914
Ge: 0.6149 0.3851 0.6086
Ge: 0.6149 0.3851 0.8914
Ge: 0.7642 0.2358 0.7500

=====

[3]
ZrNb2CrAg: computed X-ray powder pattern (Cu Kα), based on a PBE-relaxed structure.
Kinematic intensities with the Lorentz-polarization factor, no thermal factor.

Peak list (12 most intense, 10 to 90 degrees two-theta, by intensity)
| 2θ/deg | I/Imax |
| --- | --- |
| 33.3 | 1000 |
| 39.8 | 523 |
| 55.0 | 393 |
| 36.3 | 341 |
| 68.2 | 240 |
| 70.0 | 184 |
| 57.6 | 169 |
| 63.4 | 150 |
| 19.6 | 88 |
| 85.9 | 53 |
| 77.1 | 35 |
| 27.9 | 32 |

Crystal structure
a = 4.5245 Å, b = 4.5245 Å, c = 4.9490 Å
α = 90.00°, β = 90.00°, γ = 90.00°
Fractional coordinates of all 5 atoms:
Zr: 0.0000 0.0000 0.0000
Nb: 0.0000 0.5000 0.5000
Nb: 0.5000 0.0000 0.5000
Cr: 0.5000 0.5000 0.5000
Ag: 0.5000 0.5000 0.0000

=====

[4]
RbSn5: computed X-ray powder pattern (Cu Kα), based on a PBE-relaxed structure.
Kinematic intensities with the Lorentz-polarization factor, no thermal factor.

Peak list (12 most intense, 10 to 90 degrees two-theta, by intensity)
| 2θ/deg | I/Imax |
| --- | --- |
| 29.4 | 1000 |
| 33.4 | 895 |
| 11.0 | 546 |
| 33.5 | 398 |
| 38.7 | 344 |
| 59.8 | 233 |
| 35.3 | 217 |
| 57.3 | 208 |
| 48.0 | 208 |
| 63.3 | 171 |
| 45.1 | 165 |
| 45.1 | 161 |

Crystal structure
a = 9.2911 Å, b = 5.3556 Å, c = 8.0585 Å
α = 90.00°, β = 90.02°, γ = 90.00°
Fractional coordinates of all 12 atoms:
Rb: 0.0000 0.0000 0.0000
Rb: 0.5000 0.5000 0.0000
Sn: 0.0000 0.0000 0.5000
Sn: 0.1665 0.5000 0.3478
Sn: 0.1666 0.5000 0.7179
Sn: 0.3334 0.0000 0.2821
Sn: 0.3335 0.0000 0.6522
Sn: 0.5000 0.5000 0.5000
Sn: 0.6665 0.0000 0.3478
Sn: 0.6666 0.0000 0.7179
Sn: 0.8334 0.5000 0.2821
Sn: 0.8335 0.5000 0.6522

=====

[5]
CeBSe3: computed X-ray powder pattern (Cu Kα), based on a PBE-relaxed structure.
Kinematic intensities with the Lorentz-polarization factor, no thermal factor.

Peak list (12 most intense, 10 to 90 degrees two-theta, by intensity)
| 2θ/deg | I/Imax |
| --- | --- |
| 12.5 | 1000 |
| 28.8 | 285 |
| 30.9 | 283 |
| 36.1 | 261 |
| 34.0 | 261 |
| 42.8 | 240 |
| 29.2 | 202 |
| 21.8 | 161 |
| 13.9 | 147 |
| 40.8 | 131 |
| 42.2 | 95 |
| 28.5 | 91 |

Crystal structure
a = 8.6792 Å, b = 8.6792 Å, c = 8.6792 Å
α = 70.14°, β = 131.59°, γ = 132.53°
Fractional coordinates of all 10 atoms:
Ce: 0.0611 0.2500 0.3111
Ce: 0.9389 0.7500 0.6889
B: 0.4085 0.1883 0.7202
B: 0.4682 0.6883 0.2798
Se: 0.2007 0.2055 0.7329
Se: 0.2007 0.9678 0.4952
Se: 0.4726 0.4678 0.2671
Se: 0.4726 0.7055 0.5048
Se: 0.4790 0.8923 0.0867
Se: 0.8056 0.3923 0.9133

=====

[6]
ZrAl2Ni4: computed X-ray powder pattern (Cu Kα), based on a PBE-relaxed structure.
Kinematic intensities with the Lorentz-polarization factor, no thermal factor.

Peak list (12 most intense, 10 to 90 degrees two-theta, by intensity)
| 2θ/deg | I/Imax |
| --- | --- |
| 43.0 | 1000 |
| 43.9 | 833 |
| 41.1 | 545 |
| 37.7 | 501 |
| 41.9 | 437 |
| 45.2 | 416 |
| 38.7 | 405 |
| 44.9 | 294 |
| 37.1 | 262 |
| 47.0 | 257 |
| 46.8 | 253 |
| 80.1 | 219 |

Crystal structure
a = 5.1963 Å, b = 4.1239 Å, c = 8.9944 Å
α = 90.00°, β = 102.97°, γ = 90.00°
Fractional coordinates of all 14 atoms:
Zr: 0.0985 0.2500 0.2613
Zr: 0.9015 0.7500 0.7387
Al: 0.2819 0.2500 0.9098
Al: 0.3392 0.7500 0.5525
Al: 0.6608 0.2500 0.4475
Al: 0.7181 0.7500 0.0902
Ni: 0.0906 0.2500 0.6082
Ni: 0.1844 0.7500 0.0460
Ni: 0.4395 0.7500 0.3094
Ni: 0.4528 0.7500 0.8298
Ni: 0.5472 0.2500 0.1702
Ni: 0.5605 0.2500 0.6906
Ni: 0.8156 0.2500 0.9540
Ni: 0.9094 0.7500 0.3918